Simulated X-ray powder pattern
Compound: DySi2Pt2
Radiation: Cu Kα
Structure: a structure optimized by DFT (PBE)
Lines closer than 0.1° are merged.

Cell and atoms:
Cell: 4.203 4.203 9.841 Å, 90.00 90.00 90.00°
Space group P4/nmm (No. 129, origin choice 2)
Inequivalent atoms, fractional coordinates:
Dy1 0.250 0.250 0.247 (multiplicity 2)
Si1 0.250 0.250 0.634 (multiplicity 2)
Si2 0.250 0.750 0.000 (multiplicity 2)
Pt1 0.250 0.250 0.876 (multiplicity 2)
Pt2 0.250 0.750 0.500 (multiplicity 2)

Main lines, sorted by position (10 to 80 degrees two-theta):
(hkl)  two_theta  I_rel
0 0 3  27.2  26
1 0 2  27.9  31
1 1 1  31.4  75
1 0 3  34.7  72
1 1 2  35.3  100
2 0 0  43.0  72
2 1 3  56.4  36
1 1 6  64.9  26